NpH: theoretical X-ray powder pattern (Cu Kα, 1.54184 Å), based on a structure optimized by DFT (GGA-PBE).

Peak list (10 most intense, 5 to 70 degrees two-theta, sorted by position)
2θ (°)	Rel. int.
25.1	71
32.4	100
35.9	60
36.0	56
41.4	29
45.2	30
52.5	30
56.0	31
57.9	32
58.3	20

```
NpH
1.0
3.504 0.000 0.000
0.000 10.006 0.000
0.000 0.000 5.044
Np H
8 8
Direct
0.091 0.115 0.080
0.091 0.385 0.580
0.409 0.615 0.080
0.409 0.885 0.580
0.591 0.115 0.420
0.591 0.385 0.920
0.909 0.615 0.420
0.909 0.885 0.920
0.094 0.168 0.651
0.094 0.332 0.151
0.406 0.668 0.651
0.406 0.832 0.151
0.594 0.168 0.849
0.594 0.332 0.349
0.906 0.668 0.849
0.906 0.832 0.349
```


NpH2O5: theoretical X-ray powder pattern (Cu Kα, 1.54184 Å), based on a structure optimized by DFT (GGA-PBE).

Peak list (10 most intense, 5 to 70 degrees two-theta, sorted by position)
2θ (°)	Rel. int.
15.7	100
19.8	57
22.8	77
25.4	34
30.4	56
31.6	22
32.0	21
43.5	24
46.8	23
48.2	23

```
NpH2O5
1.0
4.479 0.000 0.000
0.000 11.313 0.000
0.000 0.000 4.163
Np H O
2 4 10
Direct
0.000 0.000 0.000
0.000 0.500 0.500
0.000 0.234 0.804
0.000 0.266 0.304
0.000 0.734 0.304
0.000 0.766 0.804
0.000 0.000 0.514
0.000 0.182 0.007
0.000 0.318 0.507
0.000 0.500 0.014
0.000 0.682 0.507
0.000 0.818 0.007
0.500 0.000 0.185
0.500 0.000 0.844
0.500 0.500 0.344
0.500 0.500 0.685
```